# Ce7C3I10
Theoretical powder XRD pattern, Cu Kα, 1.54184 Å. Input: the PBE geometry in Alexandria.

Peak list (10 most intense, 10 to 90 degrees two-theta, in order of rising 2θ)
2θ (°)  Rel. int.
27.68  100
29.17  77
29.45  71
33.00  17
34.80  19
40.60  54
40.70  29
40.81  21
41.11  28
43.03  22

Structural model:
Cell: 9.7585 11.7957 13.8698 Å, 79.68 71.03 66.11°
Positions (direct):
Ce1 0.0409 0.2972 0.3072
Ce2 0.1206 0.5718 0.3611
Ce3 0.2541 0.4477 0.0790
Ce4 0.3317 0.7416 0.1020
Ce5 0.3657 0.2262 0.4119
Ce6 0.4561 0.6143 0.8266
Ce7 0.4581 0.0846 0.1594
Ce8 0.5419 0.9154 0.8406
Ce9 0.5439 0.3857 0.1734
Ce10 0.6343 0.7738 0.5881
Ce11 0.6683 0.2584 0.8980
Ce12 0.7459 0.5523 0.9210
Ce13 0.8794 0.4282 0.6389
Ce14 0.9591 0.7028 0.6928
C1 0.2544 0.3901 0.2754
C2 0.3322 0.2754 0.2286
C3 0.4607 0.5569 0.0238
C4 0.5393 0.4431 0.9762
C5 0.6678 0.7246 0.7714
C6 0.7456 0.6099 0.7246
I1 0.0037 0.7158 0.1689
I2 0.0628 0.1575 0.5224
I3 0.1075 0.5775 0.8799
I4 0.1511 0.0239 0.2232
I5 0.2144 0.8879 0.9098
I6 0.2170 0.4523 0.5700
I7 0.3137 0.7452 0.6276
I8 0.3565 0.1978 0.9536
I9 0.4294 0.6286 0.3053
I10 0.4576 0.0622 0.6393
I11 0.5424 0.9378 0.3607
I12 0.5706 0.3714 0.6947
I13 0.6435 0.8022 0.0464
I14 0.6863 0.2548 0.3724
I15 0.7830 0.5477 0.4300
I16 0.7856 0.1121 0.0902
I17 0.8489 0.9761 0.7768
I18 0.8925 0.4225 0.1201
I19 0.9372 0.8425 0.4776
I20 0.9963 0.2842 0.8311

---

# Nb2ReHOs
Theoretical powder XRD pattern, Cu Kα, 1.54184 Å. Input: the PBE geometry in Alexandria.

Peak list (10 most intense, 10 to 90 degrees two-theta, in order of rising 2θ)
2θ (°)  Rel. int.
25.16  7
28.73  11
38.55  100
41.08  42
51.64  11
59.50  14
68.01  19
73.17  31
82.64  11
88.67  10

Structural model:
Cell: 4.3943 4.3943 3.5401 Å, 90.00 90.00 90.00°
Positions (direct):
Nb1 0.0000 0.5000 0.0000
Nb2 0.5000 0.0000 0.0000
Re1 0.0000 0.0000 0.5000
H1 0.5000 0.5000 0.0000
Os1 0.5000 0.5000 0.5000

---

# PrSc
Theoretical powder XRD pattern, Cu Kα, 1.54184 Å. Input: the PBE geometry in Alexandria.

Peak list (10 most intense, 10 to 90 degrees two-theta, in order of rising 2θ)
2θ (°)  Rel. int.
10.47  16
25.57  50
31.55  100
31.76  14
33.13  52
46.55  20
47.56  18
54.77  13
58.20  34
59.82  12

Structural model:
Cell: 3.8239 3.8239 8.4524 Å, 90.00 90.00 90.00°
Positions (direct):
Pr1 0.2500 0.2500 0.1567
Pr2 0.7500 0.7500 0.8433
Sc1 0.2500 0.2500 0.5925
Sc2 0.7500 0.7500 0.4075

---

# Cs2IrRuF6
Theoretical powder XRD pattern, Cu Kα, 1.54184 Å. Input: the PBE geometry in Alexandria.

Peak list (10 most intense, 10 to 90 degrees two-theta, in order of rising 2θ)
2θ (°)  Rel. int.
27.58  100
28.45  46
38.08  17
40.67  29
48.22  21
49.85  39
56.94  20
62.57  11
77.35  12
79.45  10

Structural model:
Cell: 6.4819 6.4819 6.4819 Å, 122.11 122.11 86.38°
Positions (direct):
Cs1 0.2500 0.7500 0.5000
Cs2 0.7500 0.2500 0.5000
Ir1 0.0000 0.0000 0.0000
Ru1 0.5000 0.5000 0.0000
F1 0.2338 0.2338 0.4675
F2 0.2338 0.7662 0.0000
F3 0.2821 0.2821 0.0000
F4 0.7179 0.7179 0.0000
F5 0.7662 0.2338 0.0000
F6 0.7662 0.7662 0.5325

---

# HfMo
Theoretical powder XRD pattern, Cu Kα, 1.54184 Å. Input: the PBE geometry in Alexandria.

Peak list (10 most intense, 10 to 90 degrees two-theta, in order of rising 2θ)
2θ (°)  Rel. int.
30.40  16
37.50  100
39.55  44
50.84  7
55.68  8
57.18  15
66.26  13
70.40  33
71.96  6
80.00  8

Structural model:
Cell: 3.2222 3.2222 7.1840 Å, 90.00 90.00 90.00°
Positions (direct):
Hf1 0.2500 0.2500 0.1472
Hf2 0.7500 0.7500 0.8528
Mo1 0.2500 0.2500 0.6001
Mo2 0.7500 0.7500 0.3999

---

# NaTm4Se6
Theoretical powder XRD pattern, Cu Kα, 1.54184 Å. Input: the PBE geometry in Alexandria.

Peak list (10 most intense, 10 to 90 degrees two-theta, in order of rising 2θ)
2θ (°)  Rel. int.
24.96  53
28.69  47
30.18  60
31.08  74
32.56  100
41.47  39
44.11  60
44.96  36
45.27  34
46.05  55

Structural model:
Cell: 6.9854 6.9854 21.0872 Å, 90.00 90.00 146.45°
Positions (direct):
Na1 0.1586 0.8414 0.7500
Na2 0.8414 0.1586 0.2500
Tm1 0.0945 0.9055 0.1358
Tm2 0.0945 0.9055 0.3642
Tm3 0.3663 0.6337 0.0426
Tm4 0.3663 0.6337 0.4574
Tm5 0.6337 0.3663 0.5426
Tm6 0.6337 0.3663 0.9574
Tm7 0.9055 0.0945 0.6358
Tm8 0.9055 0.0945 0.8642
Se1 0.0000 0.0000 0.0000
Se2 0.0000 0.0000 0.5000
Se3 0.1819 0.8181 0.2500
Se4 0.2738 0.7262 0.5811
Se5 0.2738 0.7262 0.9189
Se6 0.4571 0.5429 0.1597
Se7 0.4571 0.5429 0.3403
Se8 0.5429 0.4571 0.6597
Se9 0.5429 0.4571 0.8403
Se10 0.7262 0.2738 0.0811
Se11 0.7262 0.2738 0.4189
Se12 0.8181 0.1819 0.7500